For Nd3Lu, a DFT-relaxed cell (PBE, the Materials Project) gives the computed powder XRD pattern in this record (Cu Ka).

Main lines, by intensity (5 to 70 degrees two-theta):
d 2.958, I = 100
d 2.562, I = 51
d 1.545, I = 43
d 1.812, I = 36
d 1.479, I = 12
d 5.124, I = 1
d 3.623, I = 1

Crystal structure
Cell: 5.124 5.124 5.124 Å, 90.00 90.00 90.00°
Fractional positions:
Nd1 0.000 0.000 0.500
Nd2 0.000 0.500 0.000
Nd3 0.500 0.000 0.000
Lu1 0.500 0.500 0.500

---

For NdLu3S6, a DFT-relaxed cell (PBE, the Materials Project) gives the computed powder XRD pattern in this record (Cu Ka).

Main lines, by intensity (5 to 70 degrees two-theta):
d 3.662, I = 100
d 3.727, I = 76
d 2.857, I = 68
d 3.356, I = 67
d 2.122, I = 60
d 3.198, I = 51
d 2.599, I = 49
d 3.216, I = 44
d 1.967, I = 43
d 2.038, I = 37

Crystal structure
Cell: 10.985 3.934 11.183 Å, 90.00 109.05 90.00°
Fractional positions:
Nd1 0.050 0.250 0.195
Nd2 0.950 0.750 0.805
Lu1 0.161 0.250 0.587
Lu2 0.320 0.750 0.000
Lu3 0.443 0.250 0.334
Lu4 0.557 0.750 0.666
Lu5 0.680 0.250 0.000
Lu6 0.839 0.750 0.413
S1 0.081 0.750 0.407
S2 0.120 0.250 0.964
S3 0.197 0.750 0.749
S4 0.269 0.750 0.230
S5 0.393 0.250 0.558
S6 0.478 0.250 0.112
S7 0.522 0.750 0.888
S8 0.607 0.750 0.442
S9 0.731 0.250 0.770
S10 0.803 0.250 0.251
S11 0.880 0.750 0.036
S12 0.919 0.250 0.593

---

For NdLuSe3, a DFT-relaxed cell (PBE, the Materials Project) gives the computed powder XRD pattern in this record (Cu Ka).

Main lines, by intensity (5 to 70 degrees two-theta):
d 2.964, I = 100
d 3.969, I = 91
d 2.841, I = 76
d 2.013, I = 69
d 2.548, I = 68
d 2.003, I = 49
d 2.516, I = 41
d 2.492, I = 33
d 1.421, I = 32
d 2.092, I = 29

Crystal structure
Cell: 6.865 6.865 9.968 Å, 90.00 90.00 145.87°
Fractional positions:
Nd1 0.248 0.752 0.750
Nd2 0.752 0.248 0.250
Lu1 0.500 0.500 0.000
Lu2 0.500 0.500 0.500
Se1 0.143 0.857 0.062
Se2 0.143 0.857 0.438
Se3 0.413 0.587 0.250
Se4 0.587 0.413 0.750
Se5 0.857 0.143 0.562
Se6 0.857 0.143 0.938

---

For LuNi, a DFT-relaxed cell (PBE, the Materials Project) gives the computed powder XRD pattern in this record (Cu Ka).

Main lines, by intensity (5 to 70 degrees two-theta):
d 2.636, I = 100
d 2.930, I = 96
d 2.478, I = 92
d 2.361, I = 77
d 2.118, I = 76
d 2.040, I = 50
d 1.575, I = 50
d 2.113, I = 47
d 1.468, I = 45
d 3.235, I = 38

Crystal structure
Cell: 6.909 4.080 5.308 Å, 90.00 90.00 90.00°
Fractional positions:
Lu1 0.179 0.250 0.127
Lu2 0.321 0.750 0.627
Lu3 0.679 0.250 0.373
Lu4 0.821 0.750 0.873
Ni1 0.036 0.250 0.623
Ni2 0.464 0.750 0.123
Ni3 0.536 0.250 0.877
Ni4 0.964 0.750 0.377

---

For Lu2NiOs, a DFT-relaxed cell (PBE, the Materials Project) gives the computed powder XRD pattern in this record (Cu Ka).

Main lines, by intensity (5 to 70 degrees two-theta):
d 2.349, I = 100
d 1.356, I = 35
d 1.661, I = 17
d 3.835, I = 10
d 2.003, I = 5
d 3.322, I = 3
d 1.524, I = 2
d 1.485, I = 1
d 1.918, I = 1

Crystal structure
Cell: 4.697 4.697 4.697 Å, 60.00 60.00 60.00°
Fractional positions:
Lu1 0.250 0.250 0.250
Lu2 0.750 0.750 0.750
Ni1 0.000 0.000 0.000
Os1 0.500 0.500 0.500

---

For Lu2Ni12P7, a DFT-relaxed cell (PBE, the Materials Project) gives the computed powder XRD pattern in this record (Cu Ka).

Main lines, by intensity (5 to 70 degrees two-theta):
d 2.293, I = 100
d 1.824, I = 17
d 1.702, I = 16
d 3.304, I = 13
d 2.948, I = 10
d 1.607, I = 10
d 2.252, I = 9
d 2.600, I = 9
d 1.861, I = 9
d 2.164, I = 9

Crystal structure
Cell: 9.008 9.008 3.647 Å, 90.00 90.00 120.00°
Fractional positions:
Lu1 0.000 0.000 0.000
Lu2 0.333 0.667 0.500
Ni1 0.048 0.765 0.500
Ni2 0.103 0.394 0.000
Ni3 0.235 0.283 0.500
Ni4 0.291 0.897 0.000
Ni5 0.391 0.210 0.000
Ni6 0.544 0.117 0.500
Ni7 0.573 0.456 0.500
Ni8 0.606 0.709 0.000
Ni9 0.717 0.952 0.500
Ni10 0.790 0.180 0.000
Ni11 0.820 0.609 0.000
Ni12 0.883 0.427 0.500
P1 0.075 0.625 0.000
P2 0.258 0.039 0.500
P3 0.375 0.450 0.000
P4 0.550 0.925 0.000
P5 0.667 0.333 0.000
P6 0.780 0.742 0.500
P7 0.961 0.220 0.500

---

For LuNi4P2, a DFT-relaxed cell (PBE, the Materials Project) gives the computed powder XRD pattern in this record (Cu Ka).

Main lines, by intensity (5 to 70 degrees two-theta):
d 2.359, I = 100
d 2.217, I = 45
d 3.188, I = 21
d 1.393, I = 20
d 2.038, I = 19
d 1.885, I = 18
d 1.790, I = 18
d 1.536, I = 13
d 3.506, I = 13
d 2.479, I = 11

Crystal structure
Cell: 7.011 7.011 3.580 Å, 90.00 90.00 90.00°
Fractional positions:
Lu1 0.000 0.000 0.000
Lu2 0.500 0.500 0.500
Ni1 0.085 0.336 0.500
Ni2 0.164 0.585 0.000
Ni3 0.336 0.085 0.500
Ni4 0.415 0.836 0.000
Ni5 0.585 0.164 0.000
Ni6 0.664 0.915 0.500
Ni7 0.836 0.415 0.000
Ni8 0.915 0.664 0.500
P1 0.219 0.781 0.500
P2 0.281 0.281 0.000
P3 0.719 0.719 0.000
P4 0.781 0.219 0.500

---

For Lu5NiPb3, a DFT-relaxed cell (PBE, the Materials Project) gives the computed powder XRD pattern in this record (Cu Ka).

Main lines, by intensity (5 to 70 degrees two-theta):
d 2.688, I = 100
d 2.652, I = 79
d 2.598, I = 38
d 1.757, I = 29
d 1.408, I = 19
d 2.946, I = 19
d 3.282, I = 18
d 1.856, I = 16
d 2.053, I = 16
d 1.641, I = 11

Crystal structure
Cell: 8.999 8.999 6.564 Å, 90.00 90.00 120.00°
Fractional positions:
Lu1 0.000 0.236 0.250
Lu2 0.000 0.764 0.750
Lu3 0.236 0.000 0.250
Lu4 0.236 0.236 0.750
Lu5 0.333 0.667 0.000
Lu6 0.333 0.667 0.500
Lu7 0.667 0.333 0.000
Lu8 0.667 0.333 0.500
Lu9 0.764 0.000 0.750
Lu10 0.764 0.764 0.250
Ni1 0.000 0.000 0.000
Ni2 0.000 0.000 0.500
Pb1 0.000 0.400 0.750
Pb2 0.000 0.600 0.250
Pb3 0.400 0.000 0.750
Pb4 0.400 0.400 0.250
Pb5 0.600 0.000 0.250
Pb6 0.600 0.600 0.750

---

For LuSi3Ni5, a DFT-relaxed cell (PBE, the Materials Project) gives the computed powder XRD pattern in this record (Cu Ka).

Main lines, by intensity (5 to 70 degrees two-theta):
d 2.304, I = 100
d 2.376, I = 30
d 1.865, I = 29
d 2.474, I = 20
d 2.458, I = 18
d 2.443, I = 14
d 1.964, I = 14
d 3.458, I = 14
d 1.748, I = 13
d 1.665, I = 11

Crystal structure
Cell: 18.491 3.729 6.659 Å, 90.00 90.00 90.00°
Fractional positions:
Lu1 0.144 0.250 0.123
Lu2 0.356 0.750 0.623
Lu3 0.644 0.250 0.377
Lu4 0.856 0.750 0.877
Si1 0.076 0.750 0.849
Si2 0.085 0.750 0.410
Si3 0.238 0.250 0.622
Si4 0.262 0.750 0.122
Si5 0.415 0.250 0.910
Si6 0.424 0.250 0.349
Si7 0.576 0.750 0.651
Si8 0.585 0.750 0.090
Si9 0.738 0.250 0.878
Si10 0.762 0.750 0.378
Si11 0.915 0.250 0.590
Si12 0.924 0.250 0.151
Ni1 0.005 0.750 0.131
Ni2 0.014 0.250 0.381
Ni3 0.114 0.250 0.642
Ni4 0.200 0.750 0.818
Ni5 0.206 0.750 0.430
Ni6 0.294 0.250 0.930
Ni7 0.300 0.250 0.318
Ni8 0.386 0.750 0.142
Ni9 0.486 0.750 0.881
Ni10 0.495 0.250 0.631
Ni11 0.505 0.750 0.369
Ni12 0.514 0.250 0.119
Ni13 0.614 0.250 0.858
Ni14 0.700 0.750 0.682
Ni15 0.706 0.750 0.070
Ni16 0.794 0.250 0.570
Ni17 0.800 0.250 0.182
Ni18 0.886 0.750 0.358
Ni19 0.986 0.750 0.619
Ni20 0.995 0.250 0.869

---

For LuNi2Sn, a DFT-relaxed cell (PBE, the Materials Project) gives the computed powder XRD pattern in this record (Cu Ka).

Main lines, by intensity (5 to 70 degrees two-theta):
d 2.259, I = 100
d 3.195, I = 19
d 1.598, I = 17
d 1.429, I = 8
d 1.845, I = 6
d 3.689, I = 4
d 1.927, I = 2
d 1.466, I = 1

Crystal structure
Cell: 4.519 4.519 4.519 Å, 60.00 60.00 60.00°
Fractional positions:
Lu1 0.000 0.000 0.000
Ni1 0.250 0.250 0.250
Ni2 0.750 0.750 0.750
Sn1 0.500 0.500 0.500

---

For Lu2NiSn6, a DFT-relaxed cell (PBE, the Materials Project) gives the computed powder XRD pattern in this record (Cu Ka).

Main lines, by intensity (5 to 70 degrees two-theta):
d 2.547, I = 100
d 2.865, I = 58
d 2.783, I = 30
d 2.209, I = 28
d 2.183, I = 27
d 1.553, I = 19
d 1.730, I = 17
d 1.718, I = 15
d 1.356, I = 14
d 1.500, I = 12

Crystal structure
Cell: 11.346 11.346 4.418 Å, 90.00 90.00 157.81°
Fractional positions:
Lu1 0.179 0.821 0.000
Lu2 0.821 0.179 0.000
Ni1 0.500 0.500 0.500
Sn1 0.072 0.928 0.500
Sn2 0.297 0.703 0.500
Sn3 0.429 0.571 0.000
Sn4 0.571 0.429 0.000
Sn5 0.703 0.297 0.500
Sn6 0.928 0.072 0.500

---

For LuNiSn2, a DFT-relaxed cell (PBE, the Materials Project) gives the computed powder XRD pattern in this record (Cu Ka).

Main lines, by intensity (5 to 70 degrees two-theta):
d 2.637, I = 100
d 2.558, I = 79
d 2.204, I = 67
d 2.476, I = 47
d 2.750, I = 42
d 2.342, I = 41
d 3.013, I = 34
d 2.540, I = 30
d 2.681, I = 26
d 1.605, I = 25

Crystal structure
Cell: 16.086 4.409 14.423 Å, 90.00 90.00 90.00°
Fractional positions:
Lu1 0.129 0.250 0.222
Lu2 0.148 0.750 0.599
Lu3 0.151 0.250 0.970
Lu4 0.349 0.750 0.470
Lu5 0.352 0.250 0.099
Lu6 0.371 0.750 0.722
Lu7 0.629 0.250 0.278
Lu8 0.648 0.750 0.901
Lu9 0.651 0.250 0.530
Lu10 0.849 0.750 0.030
Lu11 0.852 0.250 0.401
Lu12 0.871 0.750 0.778
Ni1 0.054 0.750 0.107
Ni2 0.189 0.250 0.739
Ni3 0.200 0.250 0.450
Ni4 0.300 0.750 0.950
Ni5 0.311 0.750 0.239
Ni6 0.446 0.250 0.607
Ni7 0.554 0.750 0.393
Ni8 0.689 0.250 0.761
Ni9 0.700 0.250 0.050
Ni10 0.800 0.750 0.550
Ni11 0.811 0.750 0.261
Ni12 0.946 0.250 0.893
Sn1 0.020 0.750 0.922
Sn2 0.028 0.250 0.733
Sn3 0.041 0.250 0.443
Sn4 0.176 0.750 0.364
Sn5 0.182 0.750 0.820
Sn6 0.215 0.750 0.101
Sn7 0.285 0.250 0.601
Sn8 0.318 0.250 0.320
Sn9 0.324 0.250 0.864
Sn10 0.459 0.750 0.943
Sn11 0.472 0.750 0.233
Sn12 0.480 0.250 0.422
Sn13 0.520 0.750 0.578
Sn14 0.528 0.250 0.767
Sn15 0.541 0.250 0.057
Sn16 0.676 0.750 0.136
Sn17 0.682 0.750 0.680
Sn18 0.715 0.750 0.399
Sn19 0.785 0.250 0.899
Sn20 0.818 0.250 0.180
Sn21 0.824 0.250 0.636
Sn22 0.959 0.750 0.557
Sn23 0.972 0.750 0.267
Sn24 0.980 0.250 0.078